# 1
The following is a theoretical powder diffractogram of BaLa3Sc4HO12. It was derived from a cell relaxed with PBE, using Cu Kα.
Neutral-atom scattering factors, no anomalous dispersion.

Structure:
Cell: 5.7898 8.2951 5.8735 Å, 90.00 90.79 90.00°
Element x y z (fractional)
Ba 0.0000 0.0000 0.0000
La 0.4823 0.0000 0.4740
La 0.5140 0.5000 0.5550
La 0.9840 0.5000 0.0682
Sc 0.0050 0.2508 0.5278
Sc 0.0050 0.7492 0.5278
Sc 0.4955 0.2684 0.0259
Sc 0.4955 0.7316 0.0259
H 0.4387 0.0000 0.9182
O 0.1024 0.5000 0.5010
O 0.2288 0.2152 0.2485
O 0.2288 0.7848 0.2485
O 0.3070 0.1919 0.7299
O 0.3070 0.8081 0.7299
O 0.3908 0.5000 0.9850
O 0.5545 0.0000 0.0435
O 0.7175 0.3077 0.3079
O 0.7175 0.6923 0.3079
O 0.7887 0.3131 0.8135
O 0.7887 0.6869 0.8135
O 0.8923 0.0000 0.5261

Top 10 peaks for 10° ≤ 2θ ≤ 80°, by angle:
d 4.149, 2θ 21.4, intensity 38
d 2.935, 2θ 30.5, intensity 100
d 2.914, 2θ 30.7, intensity 69
d 2.895, 2θ 30.9, intensity 32
d 2.397, 2θ 37.5, intensity 20
d 2.374, 2θ 37.9, intensity 21
d 2.075, 2θ 43.6, intensity 39
d 2.047, 2θ 44.2, intensity 17
d 1.686, 2θ 54.4, intensity 25
d 1.683, 2θ 54.5, intensity 17

# 2
The following is a theoretical powder diffractogram of CaMg14Cd. It was derived from a cell relaxed with PBE, using Cu Kα.
Neutral-atom scattering factors, no anomalous dispersion.

Structure:
Cell: 10.5223 6.4537 6.4537 Å, 59.88 90.00 90.00°
Element x y z (fractional)
Ca 0.0000 0.0000 0.0000
Mg 0.0000 0.0078 0.4940
Mg 0.0000 0.4940 0.0078
Mg 0.2458 0.6657 0.6657
Mg 0.2549 0.1686 0.6614
Mg 0.2549 0.6614 0.1686
Mg 0.2569 0.1682 0.1682
Mg 0.5000 0.4991 0.4991
Mg 0.5000 0.4995 0.9994
Mg 0.5000 0.9994 0.4995
Mg 0.5000 0.9991 0.9991
Mg 0.7431 0.1682 0.1682
Mg 0.7451 0.1686 0.6614
Mg 0.7451 0.6614 0.1686
Mg 0.7542 0.6657 0.6657
Cd 0.0000 0.4943 0.4943

Top 10 peaks for 10° ≤ 2θ ≤ 80°, by angle:
d 5.587, 2θ 15.9, intensity 14
d 4.935, 2θ 18.0, intensity 21
d 3.831, 2θ 23.2, intensity 11
d 2.793, 2θ 32.0, intensity 26
d 2.631, 2θ 34.1, intensity 26
d 2.467, 2θ 36.4, intensity 100
d 1.915, 2θ 47.5, intensity 17
d 1.613, 2θ 57.1, intensity 11
d 1.485, 2θ 62.6, intensity 13
d 1.375, 2θ 68.2, intensity 13